Ba2SnS3F2: simulated powder XRD pattern (copper Kα), based on a DFT-relaxed cell (PBE, Alexandria).
Peak positions follow from Bragg's law for the DFT cell and can differ from measured ones.

Largest 10 diffraction maxima, most intense first, 2θ = 10–90°:
hkl	d (Å)	Position (°2θ)	I_rel
1 3 1	3.705	24.0	100
1 9 1	1.959	46.3	33
0 0 2	3.213	27.8	32
2 0 0	3.151	28.3	30
2 0 2	2.250	40.1	29
0 6 0	3.265	27.3	27
1 5 1	2.955	30.2	24
0 6 2	2.290	39.3	22
2 6 0	2.267	39.8	20
3 5 1	1.779	51.4	12

Structural model:
```
data_Ba2SnS3F2
_chemical_formula_sum 'Ba8 Sn4 S12 F8'
_space_group_name_H-M_alt 'P n m a'
_space_group_IT_number 62
_space_group_name_Hall '-P 2ac 2n'
_cell_length_a 6.302
_cell_length_b 19.588
_cell_length_c 6.427
_cell_angle_alpha 90.00
_cell_angle_beta 90.00
_cell_angle_gamma 90.00
loop_
_atom_site_label
_atom_site_fract_x
_atom_site_fract_y
_atom_site_fract_z
Ba1 0.247 0.077 0.002
Sn1 0.158 0.750 0.916
S1 0.237 0.250 0.042
S2 0.245 0.138 0.516
F1 0.001 0.001 0.748
```